Entry 1:
Diffraction record for Er2Ge2O7. The powder diffractogram is calculated, not measured: it uses a GGA-PBE-relaxed structure and λ = 1.5418 Å (Cu Kα).
No peak broadening, texture or thermal motion is included.

Top 12 peaks for 2θ = 15–90°, in order of rising 2θ:
2θ (°), d_spacing, I_rel, h k l
27.09, 3.292, 79, 2 0 1
28.72, 3.108, 74, 0 0 4
29.25, 3.053, 23, 2 1 0
30.14, 2.965, 46, 2 1 1
32.68, 2.740, 100, 2 1 2
34.03, 2.635, 41, 2 0 3
47.14, 1.928, 19, 2 1 5
48.64, 1.872, 38, 3 2 1
53.44, 1.715, 34, 2 1 6
53.70, 1.707, 23, 4 0 0
61.56, 1.506, 20, 3 2 5
62.04, 1.496, 26, 4 0 4

Structure:
Cell lengths 6.827, 6.827, 12.433 Å; angles 90.00, 90.00, 90.00 degrees
Space group P4_12_12 (No. 92)
Symmetry-distinct sites (fractional):
Er1 0.126 0.354 0.115 [8 per cell]
Ge1 0.100 0.151 0.631 [8 per cell]
O1 0.034 0.079 0.872 [8 per cell]
O2 0.065 0.662 0.179 [8 per cell]
O3 0.143 0.319 0.294 [8 per cell]
O4 0.196 0.196 0.500 [4 per cell]

---

Entry 2:
Diffraction record for HoZn. The powder diffractogram is calculated, not measured: it uses a GGA-PBE-relaxed structure and λ = 1.5418 Å (Cu Kα).
No peak broadening, texture or thermal motion is included.

Top 9 peaks for 2θ = 15–90°, in order of rising 2θ:
2θ (°), d_spacing, I_rel, h k l
25.04, 3.557, 19, 1 0 0
35.70, 2.515, 100, 1 1 0
44.10, 2.054, 6, 1 1 1
51.38, 1.778, 18, 2 0 0
57.98, 1.591, 8, 2 1 0
64.14, 1.452, 36, 2 1 1
75.62, 1.258, 11, 2 2 0
81.12, 1.186, 4, 3 0 0
86.54, 1.125, 16, 3 1 0

Structure:
Cell lengths 3.557, 3.557, 3.557 Å; angles 90.00, 90.00, 90.00 degrees
Space group Pm-3m (No. 221)
Symmetry-distinct sites (fractional):
Ho1 0.000 0.000 0.000 [1 per cell]
Zn1 0.500 0.500 0.500 [1 per cell]

---

Entry 3:
Diffraction record for NaHo2F7. The powder diffractogram is calculated, not measured: it uses a GGA-PBE-relaxed structure and λ = 1.5418 Å (Cu Kα).
No peak broadening, texture or thermal motion is included.

Top 12 peaks for 2θ = 15–90°, in order of rising 2θ:
2θ (°), d_spacing, I_rel, h k l
19.23, 4.616, 36, 0 0 2
23.66, 3.761, 36, 1 0 0
25.35, 3.513, 100, 0 1 -1
25.87, 3.444, 86, 1 0 -1
28.01, 3.185, 72, 1 1 1
29.02, 3.077, 69, 0 0 3
30.17, 2.963, 36, 1 0 2
30.71, 2.911, 35, 0 1 2
39.60, 2.276, 39, 1 -1 0
44.88, 2.020, 40, 1 2 0
45.88, 1.978, 42, 0 1 -4
49.23, 1.851, 38, 0 2 1

Structure:
Cell lengths 4.056, 4.078, 9.236 Å; angles 89.88, 88.24, 68.09 degrees
Space group P1 (No. 1)
Symmetry-distinct sites (fractional):
Na1 0.000 0.000 0.000 [1 per cell]
Ho1 0.402 0.368 0.331 [1 per cell]
Ho2 0.669 0.729 0.669 [1 per cell]
F1 0.055 0.985 0.728 [1 per cell]
F2 0.348 0.302 0.106 [1 per cell]
F3 0.398 0.876 0.438 [1 per cell]
F4 0.410 0.340 0.634 [1 per cell]
F5 0.677 0.655 0.892 [1 per cell]
F6 0.908 0.390 0.446 [1 per cell]
F7 0.933 0.894 0.253 [1 per cell]

---

Entry 4:
Diffraction record for Zr10Al3Sb3. The powder diffractogram is calculated, not measured: it uses a GGA-PBE-relaxed structure and λ = 1.5418 Å (Cu Kα).
No peak broadening, texture or thermal motion is included.

Top 12 peaks for 2θ = 15–90°, in order of rising 2θ:
2θ (°), d_spacing, I_rel, h k l
15.45, 5.735, 15, 0 0 1
31.19, 2.868, 16, 0 0 2
32.50, 2.755, 36, 2 1 0
33.58, 2.668, 17, 1 0 2
36.17, 2.483, 100, 2 1 1
37.00, 2.430, 53, 3 0 0
37.97, 2.370, 86, 1 1 2
47.70, 1.907, 14, 3 1 1
54.05, 1.697, 20, 2 2 2
57.40, 1.605, 15, 3 2 1
58.79, 1.571, 24, 2 1 3
60.16, 1.538, 14, 4 0 2

Structure:
Cell lengths 8.4172, 8.4172, 5.7350 Å; angles 90.00, 90.00, 120.00 degrees
Space group P-62m (No. 189)
Symmetry-distinct sites (fractional):
Zr1 0.0000 0.2494 0.0000 [3 per cell]
Zr2 0.0000 0.7504 0.5000 [3 per cell]
Zr3 0.3333 0.6667 0.2561 [4 per cell]
Al1 0.0000 0.3891 0.5000 [3 per cell]
Sb1 0.0000 0.6070 0.0000 [3 per cell]

---

Entry 5:
Diffraction record for MnAs. The powder diffractogram is calculated, not measured: it uses a GGA-PBE-relaxed structure and λ = 1.5418 Å (Cu Kα).
No peak broadening, texture or thermal motion is included.

Top 12 peaks for 2θ = 15–90°, in order of rising 2θ:
2θ (°), d_spacing, I_rel, h k l
28.17, 3.167, 5, 1 0 0
32.62, 2.745, 100, 1 0 1
43.58, 2.077, 86, 1 0 2
49.87, 1.829, 57, 1 1 0
58.12, 1.587, 18, 1 0 3
60.86, 1.522, 18, 2 0 1
68.18, 1.375, 7, 0 0 4
68.35, 1.372, 21, 2 0 2
80.06, 1.199, 7, 2 0 3
82.45, 1.170, 13, 2 1 1
89.07, 1.099, 21, 1 1 4
89.22, 1.098, 20, 2 1 2

Structure:
Cell lengths 3.6573, 3.6573, 5.5020 Å; angles 90.00, 90.00, 120.00 degrees
Space group P6_3/mmc (No. 194)
Symmetry-distinct sites (fractional):
Mn1 0.0000 0.0000 0.0000 [2 per cell]
As1 0.3333 0.6667 0.2500 [2 per cell]